[1]
Structure and simulated powder diffractogram of Y2HoGa2 (a GGA-PBE-relaxed structure; Cu Kα X-rays).

a b c (Å): 6.376 6.376 10.664
angles (deg): 118.56 118.56 43.17
Fractional coordinates of all 10 atoms:
Y 0.028 0.028 0.188
Y 0.186 0.186 0.597
Y 0.814 0.814 0.403
Y 0.972 0.972 0.812
Ho 0.299 0.299 0.147
Ho 0.701 0.701 0.853
Ga 0.373 0.373 0.920
Ga 0.446 0.446 0.583
Ga 0.554 0.554 0.417
Ga 0.627 0.627 0.080

Largest 6 diffraction maxima, sorted by position, 2θ from 15° to 90°:
2θ = 29.80°, d 2.998, rel. 40; 2θ = 30.17°, d 2.962, rel. 44; 2θ = 31.64°, d 2.828, rel. 98; 2θ = 33.60°, d 2.667, rel. 100; 2θ = 37.91°, d 2.373, rel. 67; 2θ = 38.38°, d 2.346, rel. 70


[2]
Structure and simulated powder diffractogram of Fe4Ni5Pd (a GGA-PBE-relaxed structure; Cu Kα X-rays).

a b c (Å): 2.565 3.551 12.924
angles (deg): 90.00 90.00 90.00
Fractional coordinates of all 10 atoms:
Fe 0.000 0.000 0.096
Fe 0.000 0.000 0.293
Fe 0.000 0.000 0.707
Fe 0.000 0.000 0.904
Ni 0.500 0.500 0.000
Ni 0.500 0.500 0.194
Ni 0.500 0.500 0.388
Ni 0.500 0.500 0.612
Ni 0.500 0.500 0.806
Pd 0.000 0.000 0.500

Largest 6 diffraction maxima, sorted by position, 2θ from 15° to 90°:
2θ = 43.30°, d 2.090, rel. 97; 2θ = 43.53°, d 2.079, rel. 100; 2θ = 50.10°, d 1.821, rel. 62; 2θ = 51.48°, d 1.775, rel. 30; 2θ = 74.68°, d 1.271, rel. 34; 2θ = 89.72°, d 1.093, rel. 21


[3]
Structure and simulated powder diffractogram of Y4NiSe3 (a GGA-PBE-relaxed structure; Cu Kα X-rays).

a b c (Å): 8.318 11.588 3.976
angles (deg): 90.00 90.00 90.00
Fractional coordinates of all 16 atoms:
Y 0.000 0.241 0.000
Y 0.000 0.759 0.000
Y 0.228 0.000 0.500
Y 0.272 0.500 0.500
Y 0.500 0.259 0.000
Y 0.500 0.741 0.000
Y 0.728 0.500 0.500
Y 0.772 0.000 0.500
Ni 0.000 0.000 0.000
Ni 0.500 0.500 0.000
Se 0.000 0.500 0.000
Se 0.250 0.250 0.500
Se 0.250 0.750 0.500
Se 0.500 0.000 0.000
Se 0.750 0.250 0.500
Se 0.750 0.750 0.500

Largest 6 diffraction maxima, sorted by position, 2θ from 15° to 90°:
2θ = 30.87°, d 2.897, rel. 52; 2θ = 31.12°, d 2.874, rel. 100; 2θ = 43.52°, d 2.079, rel. 18; 2θ = 44.40°, d 2.040, rel. 72; 2θ = 54.31°, d 1.689, rel. 18; 2θ = 56.11°, d 1.639, rel. 18


[4]
Structure and simulated powder diffractogram of La3HoTm2Se6 (a GGA-PBE-relaxed structure; Cu Kα X-rays).

a b c (Å): 7.122 7.122 7.406
angles (deg): 99.22 99.22 120.16
Fractional coordinates of all 12 atoms:
La 0.000 0.000 0.000
La 0.335 0.665 0.000
La 0.665 0.335 0.000
Ho 0.500 0.500 0.500
Tm 0.167 0.833 0.500
Tm 0.833 0.167 0.500
Se 0.089 0.425 0.274
Se 0.239 0.239 0.726
Se 0.425 0.089 0.274
Se 0.575 0.911 0.726
Se 0.761 0.761 0.274
Se 0.911 0.575 0.726

Largest 6 diffraction maxima, sorted by position, 2θ from 15° to 90°:
2θ = 26.44°, d 3.370, rel. 14; 2θ = 30.33°, d 2.947, rel. 100; 2θ = 42.75°, d 2.115, rel. 37; 2θ = 44.01°, d 2.058, rel. 12; 2θ = 44.12°, d 2.053, rel. 24; 2θ = 54.39°, d 1.687, rel. 13


[5]
Structure and simulated powder diffractogram of Pr4ZnCuHg2 (a GGA-PBE-relaxed structure; Cu Kα X-rays).

a b c (Å): 9.257 9.257 9.257
angles (deg): 33.60 33.60 33.60
Fractional coordinates of all 8 atoms:
Pr 0.122 0.122 0.122
Pr 0.373 0.373 0.373
Pr 0.627 0.627 0.627
Pr 0.878 0.878 0.878
Zn 0.500 0.500 0.500
Cu 0.000 0.000 0.000
Hg 0.246 0.246 0.246
Hg 0.754 0.754 0.754

Largest 6 diffraction maxima, sorted by position, 2θ from 15° to 90°:
2θ = 20.34°, d 4.367, rel. 12; 2θ = 33.51°, d 2.674, rel. 100; 2θ = 48.12°, d 1.891, rel. 18; 2θ = 59.91°, d 1.544, rel. 37; 2θ = 70.41°, d 1.337, rel. 11; 2θ = 80.27°, d 1.196, rel. 16


[6]
Structure and simulated powder diffractogram of Mn5IrW (a GGA-PBE-relaxed structure; Cu Kα X-rays).

a b c (Å): 7.719 4.619 9.810
angles (deg): 90.00 90.00 90.00
Fractional coordinates of all 28 atoms:
Mn 0.050 0.250 0.086
Mn 0.072 0.509 0.312
Mn 0.072 0.991 0.312
Mn 0.091 0.750 0.524
Mn 0.192 0.750 0.751
Mn 0.308 0.250 0.251
Mn 0.409 0.250 0.024
Mn 0.428 0.009 0.812
Mn 0.428 0.491 0.812
Mn 0.450 0.750 0.586
Mn 0.550 0.250 0.414
Mn 0.572 0.509 0.188
Mn 0.572 0.991 0.188
Mn 0.591 0.750 0.976
Mn 0.692 0.750 0.749
Mn 0.808 0.250 0.249
Mn 0.909 0.250 0.476
Mn 0.928 0.009 0.688
Mn 0.928 0.491 0.688
Mn 0.950 0.750 0.914
Ir 0.132 0.250 0.851
Ir 0.368 0.750 0.351
Ir 0.632 0.250 0.649
Ir 0.868 0.750 0.149
W 0.250 0.250 0.562
W 0.250 0.750 0.062
W 0.750 0.250 0.938
W 0.750 0.750 0.438

Largest 6 diffraction maxima, sorted by position, 2θ from 15° to 90°:
2θ = 21.26°, d 4.179, rel. 25; 2θ = 35.59°, d 2.522, rel. 26; 2θ = 38.52°, d 2.337, rel. 39; 2θ = 39.00°, d 2.310, rel. 29; 2θ = 41.17°, d 2.193, rel. 100; 2θ = 46.76°, d 1.943, rel. 25